# 1
Computed powder X-ray diffraction pattern
Compound: Pm4AlIn3
Radiation: Cu Kα, 1.54184 Å
Structure: DFT lattice parameters and positions (GGA-PBE)
Neutral-atom scattering factors, no anomalous dispersion.

The 10 most intense peaks (2θ from 5° to 70°), in order of rising 2θ:
29.0 deg, d 3.079, I = 100; 29.9 deg, d 2.988, I = 33; 30.6 deg, d 2.926, I = 27; 36.4 deg, d 2.470, I = 61; 36.9 deg, d 2.435, I = 19; 38.8 deg, d 2.324, I = 26; 41.1 deg, d 2.194, I = 22; 50.1 deg, d 1.820, I = 15; 51.7 deg, d 1.769, I = 14; 57.8 deg, d 1.595, I = 16

Structure:
Lattice parameters (Å, degrees): 4.389 4.648 11.704 90.00 90.00 90.00
Positions (direct):
Pm 0.000 0.000 0.000
Pm 0.000 0.500 0.489
Pm 0.500 0.000 0.715
Pm 0.500 0.500 0.218
Al 0.000 0.000 0.279
In 0.000 0.500 0.771
In 0.500 0.000 0.430
In 0.500 0.500 0.938

=====

# 2
Computed powder X-ray diffraction pattern
Compound: Nd6SmDy3Ho2
Radiation: Cu Kα, 1.54184 Å
Structure: DFT lattice parameters and positions (GGA-PBE)
Neutral-atom scattering factors, no anomalous dispersion.

The 10 most intense peaks (2θ from 5° to 70°), in order of rising 2θ:
30.2 deg, d 2.956, I = 100; 30.5 deg, d 2.927, I = 32; 35.1 deg, d 2.554, I = 67; 50.3 deg, d 1.812, I = 24; 50.8 deg, d 1.799, I = 24; 59.9 deg, d 1.545, I = 14; 60.0 deg, d 1.541, I = 29; 60.4 deg, d 1.533, I = 14; 62.9 deg, d 1.478, I = 12; 63.6 deg, d 1.463, I = 4

Structure:
Lattice parameters (Å, degrees): 6.278 6.278 11.891 95.03 95.03 120.00
Positions (direct):
Nd 0.082 0.416 0.249
Nd 0.250 0.250 0.750
Nd 0.416 0.082 0.249
Nd 0.584 0.918 0.751
Nd 0.750 0.750 0.250
Nd 0.918 0.584 0.751
Sm 0.500 0.500 0.500
Dy 0.000 0.000 0.000
Dy 0.333 0.667 0.000
Dy 0.667 0.333 0.000
Ho 0.167 0.833 0.500
Ho 0.833 0.167 0.500

=====

# 3
Computed powder X-ray diffraction pattern
Compound: Na5Hg2Au
Radiation: Cu Kα, 1.54184 Å
Structure: DFT lattice parameters and positions (GGA-PBE)
Neutral-atom scattering factors, no anomalous dispersion.

The 10 most intense peaks (2θ from 5° to 70°), in order of rising 2θ:
19.5 deg, d 4.560, I = 67; 22.4 deg, d 3.976, I = 28; 23.3 deg, d 3.815, I = 92; 25.0 deg, d 3.568, I = 49; 26.3 deg, d 3.390, I = 59; 32.8 deg, d 2.734, I = 38; 33.1 deg, d 2.708, I = 100; 33.5 deg, d 2.674, I = 51; 35.4 deg, d 2.535, I = 46; 50.6 deg, d 1.804, I = 33

Structure:
Lattice parameters (Å, degrees): 6.492 12.812 5.070 90.00 90.00 90.00
Positions (direct):
Na 0.000 0.000 0.000
Na 0.102 0.272 0.000
Na 0.165 0.601 0.500
Na 0.335 0.101 0.500
Na 0.398 0.772 0.000
Na 0.500 0.500 0.000
Na 0.602 0.228 0.000
Na 0.665 0.899 0.500
Na 0.835 0.399 0.500
Na 0.898 0.728 0.000
Hg 0.157 0.862 0.500
Hg 0.343 0.362 0.500
Hg 0.657 0.638 0.500
Hg 0.843 0.138 0.500
Au 0.000 0.500 0.000
Au 0.500 0.000 0.000

=====

# 4
Computed powder X-ray diffraction pattern
Compound: Nd8Y3Th2
Radiation: Cu Kα, 1.54184 Å
Structure: DFT lattice parameters and positions (GGA-PBE)
Neutral-atom scattering factors, no anomalous dispersion.

The 10 most intense peaks (2θ from 5° to 70°), in order of rising 2θ:
25.8 deg, d 3.448, I = 18; 28.4 deg, d 3.141, I = 27; 29.9 deg, d 2.991, I = 26; 31.1 deg, d 2.872, I = 98; 31.3 deg, d 2.860, I = 100; 34.6 deg, d 2.589, I = 15; 35.1 deg, d 2.558, I = 12; 46.6 deg, d 1.950, I = 11; 47.2 deg, d 1.925, I = 12; 57.0 deg, d 1.617, I = 14

Structure:
Lattice parameters (Å, degrees): 6.788 17.946 7.800 90.00 106.24 90.00
Positions (direct):
Nd 0.079 0.068 0.155
Nd 0.079 0.432 0.655
Nd 0.139 0.084 0.636
Nd 0.139 0.416 0.136
Nd 0.361 0.235 0.978
Nd 0.361 0.265 0.478
Nd 0.367 0.611 0.157
Nd 0.367 0.889 0.657
Nd 0.633 0.111 0.343
Nd 0.633 0.389 0.843
Nd 0.639 0.735 0.522
Nd 0.639 0.765 0.022
Nd 0.861 0.584 0.864
Nd 0.861 0.916 0.364
Nd 0.921 0.568 0.345
Nd 0.921 0.932 0.845
Y 0.100 0.744 0.388
Y 0.100 0.756 0.888
Y 0.500 0.000 0.000
Y 0.500 0.500 0.500
Y 0.900 0.244 0.112
Y 0.900 0.256 0.612
Th 0.334 0.615 0.736
Th 0.334 0.885 0.236
Th 0.666 0.115 0.764
Th 0.666 0.385 0.264

=====

# 5
Computed powder X-ray diffraction pattern
Compound: Ba3Na2Tl4
Radiation: Cu Kα, 1.54184 Å
Structure: DFT lattice parameters and positions (GGA-PBE)
Neutral-atom scattering factors, no anomalous dispersion.

The 10 most intense peaks (2θ from 5° to 70°), in order of rising 2θ:
14.2 deg, d 6.236, I = 32; 17.7 deg, d 5.003, I = 20; 28.3 deg, d 3.149, I = 62; 28.5 deg, d 3.137, I = 54; 32.2 deg, d 2.784, I = 100; 33.2 deg, d 2.701, I = 16; 43.3 deg, d 2.088, I = 16; 43.5 deg, d 2.081, I = 17; 55.1 deg, d 1.668, I = 22; 57.3 deg, d 1.607, I = 17

Structure:
Lattice parameters (Å, degrees): 6.924 6.924 10.522 113.64 113.64 47.42
Positions (direct):
Ba 0.000 0.000 0.000
Ba 0.349 0.349 0.311
Ba 0.651 0.651 0.689
Na 0.339 0.339 0.669
Na 0.661 0.661 0.331
Tl 0.048 0.048 0.382
Tl 0.255 0.255 0.919
Tl 0.745 0.745 0.081
Tl 0.952 0.952 0.618

=====

# 6
Computed powder X-ray diffraction pattern
Compound: SrMgIn2Ni
Radiation: Cu Kα, 1.54184 Å
Structure: DFT lattice parameters and positions (GGA-PBE)
Neutral-atom scattering factors, no anomalous dispersion.

The 10 most intense peaks (2θ from 5° to 70°), in order of rising 2θ:
17.9 deg, d 4.951, I = 41; 25.2 deg, d 3.531, I = 35; 30.9 deg, d 2.892, I = 100; 35.6 deg, d 2.519, I = 73; 36.3 deg, d 2.475, I = 35; 40.2 deg, d 2.245, I = 21; 51.3 deg, d 1.781, I = 25; 51.8 deg, d 1.766, I = 49; 61.1 deg, d 1.517, I = 28; 64.4 deg, d 1.446, I = 25

Structure:
Lattice parameters (Å, degrees): 5.038 5.038 4.951 90.00 90.00 90.00
Positions (direct):
Sr 0.000 0.000 0.000
Mg 0.500 0.500 0.000
In 0.000 0.500 0.500
In 0.500 0.000 0.500
Ni 0.500 0.500 0.500